For BaCaHgSb, DFT lattice parameters and positions (GGA-PBE) gives the theoretical PXRD pattern in this record (Cu Kα, 1.54184 Å).
Intensities are scaled so that the largest is 100.

Main lines, low angle first (2θ from 10° to 90°):
Position (°2θ), I_rel, (hkl)
18.99, 12, 1 1 1
21.96, 10, 2 0 0
31.25, 100, 2 2 0
36.82, 8, 3 1 1
44.78, 18, 4 0 0
50.41, 5, 4 2 0
55.61, 39, 4 2 2
65.18, 12, 4 4 0
74.06, 17, 6 2 0
82.56, 4, 4 4 4

Structure:
a = 8.096 Å, b = 8.096 Å, c = 8.096 Å
α = 90.00°, β = 90.00°, γ = 90.00°
Space group F-43m (No. 216)
Unique sites:
Ba: 0.000 0.000 0.000 [4 per cell]
Ca: 0.000 0.000 0.500 [4 per cell]
Hg: 0.250 0.250 0.250 [4 per cell]
Sb: 0.250 0.250 0.750 [4 per cell]